Simulated X-ray powder pattern of RbNiOsO6 for a wavelength of 1.5418 Å, from a crystal structure in Alexandria, relaxed with GGA+U.
Peak positions follow from Bragg's law for the DFT cell and can differ from measured ones.

Cell and atoms:
a b c (Å): 5.2846 8.8516 6.2518
angles (deg): 90.00 91.69 90.00
Space group C2 (No. 5)
Asymmetric unit:
Rb 0.0000 0.0000 0.0000 [2 per cell]
Ni 0.0000 0.6780 0.5000 [2 per cell]
Os 0.0000 0.3419 0.5000 [2 per cell]
O 0.1055 0.5144 0.6683 [4 per cell]
O 0.1738 0.2220 0.6886 [4 per cell]
O 0.2024 0.8229 0.6580 [4 per cell]

Principal peaks in the range 10 to 90 degrees two-theta, in order of rising 2θ:
d 6.249, intensity 100; d 4.536, intensity 28; d 3.716, intensity 78; d 3.628, intensity 71; d 3.612, intensity 71; d 3.125, intensity 32; d 2.641, intensity 23; d 2.576, intensity 41; d 2.002, intensity 22; d 1.974, intensity 37